Diffraction record for Hf4ZnIr2. The powder XRD pattern is calculated, not measured: it uses a cell relaxed with GGA-PBE and λ = 1.5418 Å (Cu Kα).
Kinematic intensities with the Lorentz-polarization factor, no thermal factor.

Crystal structure
```
data_Hf4ZnIr2
_chemical_formula_sum 'Hf12 Zn3 Ir6'
_cell_length_a 4.3899
_cell_length_b 4.3899
_cell_length_c 26.4277
_cell_angle_alpha 90.00
_cell_angle_beta 90.00
_cell_angle_gamma 120.00
_space_group_name_H-M_alt 'R -3 m'
_space_group_IT_number 166
_space_group_name_Hall '-R 3 2"'
loop_
_atom_site_label
_atom_site_fract_x
_atom_site_fract_y
_atom_site_fract_z
Hf1 0.0000 0.0000 0.1152
Hf2 0.0000 0.0000 0.2970
Zn1 0.0000 0.0000 0.5000
Ir1 0.0000 0.0000 0.4028
```

Main lines, sorted by position (2θ = 5–70°):
two_theta	Rel. int.
20.16	15
23.64	15
27.06	41
28.93	25
33.45	36
41.12	100
41.62	72
44.62	14
59.94	25
64.79	14